Structure and computed powder X-ray diffraction pattern of Li2Cd5Rh2 (DFT lattice parameters and positions (GGA-PBE); Cu Ka).
No peak broadening, texture or thermal motion is included.

Unit cell a=8.450 b=4.704 c=4.704 alpha=59.98 beta=90.00 gamma=90.00
Fractional coordinates of all 9 atoms:
Li 0.000 0.000 0.000
Li 0.500 0.332 0.332
Cd 0.167 0.333 0.333
Cd 0.320 0.999 0.999
Cd 0.500 0.666 0.666
Cd 0.680 0.999 0.999
Cd 0.833 0.333 0.333
Rh 0.166 0.667 0.667
Rh 0.834 0.667 0.667

Top 10 peaks for 2θ from 15° to 90°, most intense first:
2theta  I_rel
38.3  100
38.9  80
24.3  33
55.7  27
69.6  27
79.3  21
69.2  16
50.6  15
21.0  14
44.1  12